[1]
# ErMgAg
Simulated powder X-ray diffraction pattern, Cu Kα X-rays. Input: a PBE-relaxed structure.
No peak broadening, texture or thermal motion is included.

Main lines, by intensity (2θ from 10° to 80°):
2θ (°)	Rel. int.
34.6	100
31.6	84
42.2	47
23.6	33
66.1	29
41.5	26
55.1	25
27.3	25
36.4	22
50.4	20

Structure:
```
data_ErMgAg
_chemical_formula_sum 'Er3 Mg3 Ag3'
_cell_length_a 7.5379
_cell_length_b 7.5379
_cell_length_c 4.2829
_cell_angle_alpha 90.00
_cell_angle_beta 90.00
_cell_angle_gamma 120.00
_space_group_name_H-M_alt 'P -6 2 m'
_space_group_IT_number 189
_space_group_name_Hall 'P -6 -2'
loop_
_atom_site_label
_atom_site_type_symbol
_atom_site_fract_x
_atom_site_fract_y
_atom_site_fract_z
Er1 Er 0.0000 0.5853 0.0000
Mg1 Mg 0.0000 0.2454 0.5000
Ag1 Ag 0.0000 0.0000 0.0000
Ag2 Ag 0.3333 0.6667 0.5000
```

[2]
# Nd3Ga10Ni
Simulated powder X-ray diffraction pattern, Cu Kα X-rays. Input: a PBE-relaxed structure.
No peak broadening, texture or thermal motion is included.

Main lines, by intensity (2θ from 10° to 80°):
2θ (°)	Rel. int.
31.8	100
31.3	47
42.2	31
41.0	31
42.5	30
61.4	20
41.9	19
60.5	18
53.5	18
52.2	14

Structure:
```
data_Nd3Ga10Ni
_chemical_formula_sum 'Nd3 Ga10 Ni1'
_cell_length_a 4.257
_cell_length_b 4.285
_cell_length_c 15.387
_cell_angle_alpha 90.00
_cell_angle_beta 90.00
_cell_angle_gamma 90.00
_space_group_name_H-M_alt 'P m m m'
_space_group_IT_number 47
loop_
_space_group_symop_operation_xyz
'x,y,z'
'-x,-y,-z'
'-x,-y,z'
'x,y,-z'
'x,-y,-z'
'-x,y,z'
'-x,y,-z'
'x,-y,z'
loop_
_atom_site_label
_atom_site_type_symbol
_atom_site_fract_x
_atom_site_fract_y
_atom_site_fract_z
Nd1 Nd 0.000 0.000 0.000
Nd2 Nd 0.000 0.500 0.255
Ga1 Ga 0.000 0.000 0.416
Ga2 Ga 0.500 0.000 0.158
Ga3 Ga 0.500 0.000 0.315
Ga4 Ga 0.500 0.500 0.080
Ga5 Ga 0.500 0.500 0.415
Ni1 Ni 0.000 0.500 0.500
```

Please write out number 1 again, unchanged.
# ErMgAg
Simulated powder X-ray diffraction pattern, Cu Kα X-rays. Input: a PBE-relaxed structure.
No peak broadening, texture or thermal motion is included.

Main lines, by intensity (2θ from 10° to 80°):
2θ (°)	Rel. int.
34.6	100
31.6	84
42.2	47
23.6	33
66.1	29
41.5	26
55.1	25
27.3	25
36.4	22
50.4	20

Structure:
```
data_ErMgAg
_chemical_formula_sum 'Er3 Mg3 Ag3'
_cell_length_a 7.5379
_cell_length_b 7.5379
_cell_length_c 4.2829
_cell_angle_alpha 90.00
_cell_angle_beta 90.00
_cell_angle_gamma 120.00
_space_group_name_H-M_alt 'P -6 2 m'
_space_group_IT_number 189
_space_group_name_Hall 'P -6 -2'
loop_
_atom_site_label
_atom_site_type_symbol
_atom_site_fract_x
_atom_site_fract_y
_atom_site_fract_z
Er1 Er 0.0000 0.5853 0.0000
Mg1 Mg 0.0000 0.2454 0.5000
Ag1 Ag 0.0000 0.0000 0.0000
Ag2 Ag 0.3333 0.6667 0.5000
```

What did the second record say?
# Nd3Ga10Ni
Simulated powder X-ray diffraction pattern, Cu Kα X-rays. Input: a PBE-relaxed structure.
No peak broadening, texture or thermal motion is included.

Main lines, by intensity (2θ from 10° to 80°):
2θ (°)	Rel. int.
31.8	100
31.3	47
42.2	31
41.0	31
42.5	30
61.4	20
41.9	19
60.5	18
53.5	18
52.2	14

Structure:
```
data_Nd3Ga10Ni
_chemical_formula_sum 'Nd3 Ga10 Ni1'
_cell_length_a 4.257
_cell_length_b 4.285
_cell_length_c 15.387
_cell_angle_alpha 90.00
_cell_angle_beta 90.00
_cell_angle_gamma 90.00
_space_group_name_H-M_alt 'P m m m'
_space_group_IT_number 47
loop_
_space_group_symop_operation_xyz
'x,y,z'
'-x,-y,-z'
'-x,-y,z'
'x,y,-z'
'x,-y,-z'
'-x,y,z'
'-x,y,-z'
'x,-y,z'
loop_
_atom_site_label
_atom_site_type_symbol
_atom_site_fract_x
_atom_site_fract_y
_atom_site_fract_z
Nd1 Nd 0.000 0.000 0.000
Nd2 Nd 0.000 0.500 0.255
Ga1 Ga 0.000 0.000 0.416
Ga2 Ga 0.500 0.000 0.158
Ga3 Ga 0.500 0.000 0.315
Ga4 Ga 0.500 0.500 0.080
Ga5 Ga 0.500 0.500 0.415
Ni1 Ni 0.000 0.500 0.500
```